# RbAc2PuO6
Simulated X-ray powder pattern, Cu Kα X-rays. Input: a PBE-relaxed structure.

Main lines, low angle first (10° ≤ 2θ ≤ 90°):
2θ (°), d (Å), Rel. int.
26.8, 3.323, 84
28.0, 3.189, 100
39.2, 2.301, 34
43.2, 2.093, 35
48.8, 1.866, 36
49.5, 1.841, 27

Structure:
Unit cell a=6.6585 b=6.6585 c=6.6585 alpha=57.23 beta=57.23 gamma=57.23
Fractional positions:
Rb  0.0000  0.0000  0.0000
Ac  0.2557  0.2557  0.2557
Ac  0.7719  0.7719  0.7719
Pu  0.4637  0.4637  0.4637
O  0.1056  0.6040  0.4272
O  0.2138  0.5338  0.8259
O  0.4272  0.1056  0.6040
O  0.5338  0.8259  0.2138
O  0.6040  0.4272  0.1056
O  0.8259  0.2138  0.5338

***

# Tl2Bi2Cl7
Simulated X-ray powder pattern, Cu Kα X-rays. Input: a PBE-relaxed structure.

Main lines, low angle first (10° ≤ 2θ ≤ 90°):
2θ (°), d (Å), Rel. int.
19.0, 4.670, 66
20.4, 4.363, 68
23.8, 3.740, 100
25.0, 3.561, 46
30.0, 2.974, 41
37.0, 2.430, 41

Structure:
Unit cell a=7.4374 b=7.4374 c=6.9297 alpha=93.16 beta=93.16 gamma=73.43
Fractional positions:
Tl  0.2303  0.7697  0.0000
Tl  0.7697  0.2303  0.0000
Bi  0.2373  0.2373  0.5753
Bi  0.7627  0.7627  0.4247
Cl  0.0000  0.0000  0.5000
Cl  0.0615  0.4966  0.2635
Cl  0.4450  0.4450  0.7369
Cl  0.4966  0.0615  0.2635
Cl  0.5034  0.9385  0.7365
Cl  0.5550  0.5550  0.2631
Cl  0.9385  0.5034  0.7365